This entry pairs a crystal structure of HgSe with its simulated powder XRD pattern. Radiation: a wavelength of 1.5418 Å. Structure: DFT lattice parameters and positions (GGA-PBE).
No peak broadening, texture or thermal motion is included.

Main lines, by intensity (10 to 90 degrees two-theta):
2θ (°), d [Å], Rel. int.
30.78, 2.905, 100
44.09, 2.054, 75
26.58, 3.354, 35
72.81, 1.299, 35
54.74, 1.677, 27
81.10, 1.186, 26

a b c (Å): 5.8092 5.8092 5.8092
angles (deg): 90.00 90.00 90.00
Space group Fm-3m (No. 225)
Asymmetric unit:
Hg1 0.0000 0.0000 0.0000
Se1 0.0000 0.0000 0.5000

This entry pairs a crystal structure of HgSe with its simulated powder XRD pattern. Radiation: a wavelength of 1.5418 Å. Structure: DFT lattice parameters and positions (GGA-PBE).
No peak broadening, texture or thermal motion is included.

Main lines, by intensity (10 to 90 degrees two-theta):
2θ (°), d [Å], Rel. int.
24.57, 3.622, 100
40.67, 2.218, 69
48.10, 1.892, 51
74.02, 1.281, 24
64.77, 1.439, 21
79.35, 1.207, 16

a b c (Å): 6.2743 6.2743 6.2743
angles (deg): 90.00 90.00 90.00
Space group F-43m (No. 216)
Asymmetric unit:
Hg1 0.0000 0.0000 0.0000
Se1 0.2500 0.2500 0.7500

This entry pairs a crystal structure of SiHg4Se6 with its simulated powder XRD pattern. Radiation: a wavelength of 1.5418 Å. Structure: DFT lattice parameters and positions (GGA-PBE).
No peak broadening, texture or thermal motion is included.

Main lines, by intensity (10 to 90 degrees two-theta):
2θ (°), d [Å], Rel. int.
24.39, 3.650, 100
28.68, 3.112, 57
43.56, 2.077, 50
27.38, 3.257, 42
43.72, 2.070, 39
29.65, 3.013, 39

a b c (Å): 13.2250 7.6234 13.1842
angles (deg): 90.00 110.06 90.00
Space group Cc (No. 9)
Asymmetric unit:
Si1 0.0000 0.2312 0.0000
Hg1 0.0656 0.3006 0.5880
Hg2 0.2511 0.3874 0.9386
Hg3 0.2673 0.0945 0.2547
Hg4 0.4378 0.4490 0.7422
Se1 0.0453 0.4750 0.9205
Se2 0.0705 0.2716 0.1837
Se3 0.0729 0.0104 0.4503
Se4 0.2571 0.2574 0.7492
Se5 0.3168 0.2554 0.4516
Se6 0.3779 0.2560 0.1291

This entry pairs a crystal structure of Hg2TeSe with its simulated powder XRD pattern. Radiation: a wavelength of 1.5418 Å. Structure: DFT lattice parameters and positions (GGA-PBE).
No peak broadening, texture or thermal motion is included.

Main lines, by intensity (10 to 90 degrees two-theta):
2θ (°), d [Å], Rel. int.
29.90, 2.989, 100
42.79, 2.113, 75
70.45, 1.337, 34
53.07, 1.726, 27
78.37, 1.220, 25
25.82, 3.451, 19

a b c (Å): 4.2256 4.2256 20.7182
angles (deg): 90.00 90.00 120.00
Space group R-3m (No. 166, hexagonal axes)
Asymmetric unit:
Hg1 0.0000 0.0000 0.2453
Te1 0.0000 0.0000 0.0000
Se1 0.0000 0.0000 0.5000

This entry pairs a crystal structure of Hg2TeSe with its simulated powder XRD pattern. Radiation: a wavelength of 1.5418 Å. Structure: DFT lattice parameters and positions (GGA-PBE).
No peak broadening, texture or thermal motion is included.

Main lines, by intensity (10 to 90 degrees two-theta):
2θ (°), d [Å], Rel. int.
23.82, 3.736, 100
39.39, 2.288, 74
46.53, 1.952, 38
71.38, 1.321, 19
62.54, 1.485, 16
56.93, 1.618, 12

a b c (Å): 4.5795 4.5795 22.3720
angles (deg): 90.00 90.00 120.00
Space group R3m (No. 160, hexagonal axes)
Asymmetric unit:
Hg1 0.0000 0.0000 0.0000
Hg2 0.0000 0.0000 0.4915
Te1 0.0000 0.0000 0.8713
Se1 0.0000 0.0000 0.3707

This entry pairs a crystal structure of ZnHgSe2 with its simulated powder XRD pattern. Radiation: a wavelength of 1.5418 Å. Structure: DFT lattice parameters and positions (GGA-PBE).
No peak broadening, texture or thermal motion is included.

Main lines, by intensity (10 to 90 degrees two-theta):
2θ (°), d [Å], Rel. int.
25.62, 3.476, 100
42.46, 2.129, 72
50.25, 1.816, 47
77.73, 1.229, 18
12.71, 6.965, 15
24.53, 3.628, 13

a b c (Å): 4.2545 4.2545 20.8939
angles (deg): 90.00 90.00 120.00
Space group R3m (No. 160, hexagonal axes)
Asymmetric unit:
Zn1 0.0000 0.0000 0.0000
Hg1 0.0000 0.0000 0.4973
Se1 0.0000 0.0000 0.3683
Se2 0.0000 0.0000 0.8812

This entry pairs a crystal structure of SiHg3 with its simulated powder XRD pattern. Radiation: a wavelength of 1.5418 Å. Structure: DFT lattice parameters and positions (GGA-PBE).
No peak broadening, texture or thermal motion is included.

Main lines, by intensity (10 to 90 degrees two-theta):
2θ (°), d [Å], Rel. int.
35.70, 2.515, 100
29.48, 3.030, 27
24.61, 3.618, 26
52.29, 1.750, 22
67.80, 1.382, 20
39.99, 2.254, 17

a b c (Å): 6.9980 6.9980 4.5090
angles (deg): 90.00 90.00 120.00
Space group P6_3/mmc (No. 194)
Asymmetric unit:
Si1 0.3333 0.6667 0.2500
Hg1 0.1763 0.3525 0.7500

This entry pairs a crystal structure of SiHg3 with its simulated powder XRD pattern. Radiation: a wavelength of 1.5418 Å. Structure: DFT lattice parameters and positions (GGA-PBE).
No peak broadening, texture or thermal motion is included.

Main lines, by intensity (10 to 90 degrees two-theta):
2θ (°), d [Å], Rel. int.
34.47, 2.602, 100
41.86, 2.158, 30
71.70, 1.316, 26
56.44, 1.630, 25
36.11, 2.488, 22
22.45, 3.960, 21

a b c (Å): 4.3165 4.3165 9.9504
angles (deg): 90.00 90.00 90.00
Space group I4/mmm (No. 139)
Asymmetric unit:
Si1 0.0000 0.0000 0.0000
Hg1 0.0000 0.0000 0.5000
Hg2 0.0000 0.5000 0.2500

This entry pairs a crystal structure of Si2HgTe with its simulated powder XRD pattern. Radiation: a wavelength of 1.5418 Å. Structure: DFT lattice parameters and positions (GGA-PBE).
No peak broadening, texture or thermal motion is included.

Main lines, by intensity (10 to 90 degrees two-theta):
2θ (°), d [Å], Rel. int.
36.06, 2.491, 100
25.28, 3.523, 60
64.83, 1.438, 36
58.59, 1.575, 25
44.55, 2.034, 18
51.91, 1.761, 18

a b c (Å): 7.0455 7.0455 7.0455
angles (deg): 90.00 90.00 90.00
Space group Fm-3m (No. 225)
Asymmetric unit:
Si1 0.2500 0.2500 0.2500
Hg1 0.0000 0.0000 0.0000
Te1 0.0000 0.0000 0.5000

This entry pairs a crystal structure of Sm3Hg with its simulated powder XRD pattern. Radiation: a wavelength of 1.5418 Å. Structure: DFT lattice parameters and positions (GGA-PBE).
No peak broadening, texture or thermal motion is included.

Main lines, by intensity (10 to 90 degrees two-theta):
2θ (°), d [Å], Rel. int.
31.74, 2.819, 100
37.43, 2.403, 32
63.98, 1.455, 27
52.58, 1.740, 24
35.56, 2.524, 18
61.48, 1.508, 15

a b c (Å): 4.8059 4.8059 10.0976
angles (deg): 90.00 90.00 90.00
Space group I4/mmm (No. 139)
Asymmetric unit:
Sm1 0.0000 0.0000 0.0000
Sm2 0.0000 0.5000 0.2500
Hg1 0.0000 0.0000 0.5000

This entry pairs a crystal structure of SmHg3 with its simulated powder XRD pattern. Radiation: a wavelength of 1.5418 Å. Structure: DFT lattice parameters and positions (GGA-PBE).
No peak broadening, texture or thermal motion is included.

Main lines, by intensity (10 to 90 degrees two-theta):
2θ (°), d [Å], Rel. int.
35.40, 2.536, 100
30.48, 2.933, 25
35.57, 2.524, 22
66.49, 1.406, 22
54.17, 1.693, 20
63.77, 1.460, 18

a b c (Å): 6.7728 6.7728 5.0483
angles (deg): 90.00 90.00 120.00
Space group P6_3/mmc (No. 194)
Asymmetric unit:
Sm1 0.3333 0.6667 0.2500
Hg1 0.1646 0.3292 0.7500

This entry pairs a crystal structure of Sm3Hg with its simulated powder XRD pattern. Radiation: a wavelength of 1.5418 Å. Structure: DFT lattice parameters and positions (GGA-PBE).
No peak broadening, texture or thermal motion is included.

Main lines, by intensity (10 to 90 degrees two-theta):
2θ (°), d [Å], Rel. int.
33.62, 2.666, 100
32.55, 2.751, 25
29.31, 3.047, 24
62.68, 1.482, 22
58.76, 1.571, 20
51.97, 1.759, 19

a b c (Å): 7.0376 7.0376 5.5020
angles (deg): 90.00 90.00 120.00
Space group P6_3/mmc (No. 194)
Asymmetric unit:
Sm1 0.1743 0.3485 0.2500
Hg1 0.3333 0.6667 0.7500